Record 1
# K2Pr4Cl9O2
Theoretical powder X-ray diffraction pattern, CuKα. Input: DFT lattice parameters and positions (PBE).

Peak list (10 most intense, 15 to 90 degrees two-theta, in order of rising 2θ)
| d/Å | 2theta | I_rel | h k l |
| --- | --- | --- | --- |
| 3.613 | 24.64 | 85 | 0 2 2 |
| 3.572 | 24.92 | 64 | 1 2 -2 |
| 3.473 | 25.65 | 53 | 1 3 0 |
| 2.874 | 31.12 | 46 | 0 4 0 |
| 2.802 | 31.95 | 92 | 2 3 0 |
| 2.776 | 32.24 | 87 | 1 2 -3 |
| 2.727 | 32.85 | 70 | 0 2 3 |
| 2.664 | 33.65 | 100 | 3 1 0 |
| 2.484 | 36.16 | 58 | 2 2 2 |
| 2.419 | 37.16 | 49 | 3 2 -2 |

Structure:
Cell lengths 8.4795, 11.4968, 9.5941 Å; angles 90.00, 104.44, 90.00 degrees
Fractional coordinates of all 34 atoms:
K 0.2393 0.0483 0.4467
K 0.2393 0.4517 0.4467
K 0.7607 0.5483 0.5533
K 0.7607 0.9517 0.5533
Pr 0.2844 0.0434 0.9559
Pr 0.2844 0.4566 0.9559
Pr 0.3816 0.7500 0.1608
Pr 0.3873 0.7500 0.7859
Pr 0.6127 0.2500 0.2141
Pr 0.6184 0.2500 0.8392
Pr 0.7156 0.5434 0.0441
Pr 0.7156 0.9566 0.0441
Cl 0.1065 0.5926 0.1239
Cl 0.1065 0.9074 0.1239
Cl 0.1220 0.5853 0.6997
Cl 0.1220 0.9147 0.6997
Cl 0.2516 0.2500 0.1344
Cl 0.2526 0.2500 0.7571
Cl 0.3998 0.7500 0.4778
Cl 0.4899 0.9998 0.2769
Cl 0.4899 0.5002 0.2769
Cl 0.5101 0.0002 0.7231
Cl 0.5101 0.4998 0.7231
Cl 0.6002 0.2500 0.5222
Cl 0.7474 0.7500 0.2429
Cl 0.7484 0.7500 0.8656
Cl 0.8780 0.0853 0.3003
Cl 0.8780 0.4147 0.3003
Cl 0.8935 0.0926 0.8761
Cl 0.8935 0.4074 0.8761
O 0.4518 0.6215 0.9889
O 0.4518 0.8785 0.9889
O 0.5482 0.1215 0.0111
O 0.5482 0.3785 0.0111



Record 2
# Ba5Os3ClO15
Theoretical powder X-ray diffraction pattern, CuKα. Input: DFT lattice parameters and positions (PBE).

Peak list (10 most intense, 15 to 90 degrees two-theta, in order of rising 2θ)
| d/Å | 2theta | I_rel | h k l |
| --- | --- | --- | --- |
| 4.560 | 19.47 | 27 | 1 1 1 |
| 3.987 | 22.30 | 29 | 0 0 2 |
| 3.310 | 26.94 | 97 | 2 1 1 |
| 3.240 | 27.53 | 100 | 1 1 2 |
| 3.209 | 27.80 | 90 | 3 0 0 |
| 3.071 | 29.08 | 19 | 2 0 2 |
| 2.532 | 35.46 | 31 | 3 1 1 |
| 2.280 | 39.53 | 29 | 2 2 2 |
| 2.146 | 42.10 | 26 | 2 1 3 |
| 1.774 | 51.53 | 23 | 4 2 1 |

Structure:
Cell lengths 11.1155, 11.1155, 7.9748 Å; angles 90.00, 90.00, 120.00 degrees
Fractional coordinates of all 48 atoms:
Ba 0.0000 0.2649 0.0000
Ba 0.0000 0.7351 0.5000
Ba 0.2649 0.0000 0.0000
Ba 0.2649 0.2649 0.5000
Ba 0.3333 0.6667 0.2362
Ba 0.3333 0.6667 0.7362
Ba 0.6667 0.3333 0.2362
Ba 0.6667 0.3333 0.7362
Ba 0.7351 0.0000 0.5000
Ba 0.7351 0.7351 0.0000
Os 0.0000 0.3879 0.4474
Os 0.0000 0.6121 0.9474
Os 0.3879 0.0000 0.4474
Os 0.3879 0.3879 0.9474
Os 0.6121 0.0000 0.9474
Os 0.6121 0.6121 0.4474
Cl 0.0000 0.0000 0.2714
Cl 0.0000 0.0000 0.7714
O 0.0000 0.2936 0.6226
O 0.0000 0.7064 0.1226
O 0.1300 0.5538 0.9796
O 0.1300 0.5762 0.4796
O 0.1312 0.3885 0.3008
O 0.1312 0.7427 0.8008
O 0.2573 0.3885 0.8008
O 0.2573 0.8688 0.3008
O 0.2936 0.0000 0.6226
O 0.2936 0.2936 0.1226
O 0.3885 0.1312 0.3008
O 0.3885 0.2573 0.8008
O 0.4238 0.5538 0.4796
O 0.4238 0.8700 0.9796
O 0.4462 0.5762 0.9796
O 0.4462 0.8700 0.4796
O 0.5538 0.1300 0.9796
O 0.5538 0.4238 0.4796
O 0.5762 0.1300 0.4796
O 0.5762 0.4462 0.9796
O 0.6115 0.7427 0.3008
O 0.6115 0.8688 0.8008
O 0.7064 0.0000 0.1226
O 0.7064 0.7064 0.6226
O 0.7427 0.1312 0.8008
O 0.7427 0.6115 0.3008
O 0.8688 0.2573 0.3008
O 0.8688 0.6115 0.8008
O 0.8700 0.4238 0.9796
O 0.8700 0.4462 0.4796



Record 3
# Gd2HfS5
Theoretical powder X-ray diffraction pattern, CuKα. Input: DFT lattice parameters and positions (PBE).

Peak list (10 most intense, 15 to 90 degrees two-theta, in order of rising 2θ)
| d/Å | 2theta | I_rel | h k l |
| --- | --- | --- | --- |
| 3.655 | 24.35 | 49 | 0 0 2 |
| 3.413 | 26.11 | 100 | 3 0 1 |
| 3.307 | 26.96 | 70 | 1 2 1 |
| 3.242 | 27.51 | 61 | 2 2 0 |
| 2.572 | 34.88 | 24 | 3 2 1 |
| 2.426 | 37.06 | 66 | 2 2 2 |
| 2.327 | 38.69 | 33 | 4 2 0 |
| 1.957 | 46.40 | 27 | 0 4 0 |
| 1.923 | 47.27 | 46 | 5 2 1 |
| 1.698 | 54.02 | 29 | 3 4 1 |

Structure:
Cell lengths 11.5789, 7.8274, 7.3108 Å; angles 90.00, 90.00, 90.00 degrees
Fractional coordinates of all 32 atoms:
Gd 0.1785 0.0023 0.0236
Gd 0.1785 0.4977 0.0236
Gd 0.3215 0.5023 0.5236
Gd 0.3215 0.9977 0.5236
Gd 0.6785 0.0023 0.4764
Gd 0.6785 0.4977 0.4764
Gd 0.8215 0.5023 0.9764
Gd 0.8215 0.9977 0.9764
Hf 0.0065 0.7500 0.5757
Hf 0.4935 0.2500 0.0757
Hf 0.5065 0.7500 0.9243
Hf 0.9935 0.2500 0.4243
S 0.0047 0.7500 0.9451
S 0.0911 0.0365 0.6612
S 0.0911 0.4635 0.6612
S 0.1813 0.7500 0.3360
S 0.2065 0.2500 0.3128
S 0.2935 0.7500 0.8128
S 0.3187 0.2500 0.8360
S 0.4089 0.5365 0.1612
S 0.4089 0.9635 0.1612
S 0.4953 0.2500 0.4451
S 0.5047 0.7500 0.5549
S 0.5911 0.0365 0.8388
S 0.5911 0.4635 0.8388
S 0.6813 0.7500 0.1640
S 0.7065 0.2500 0.1872
S 0.7935 0.7500 0.6872
S 0.8187 0.2500 0.6640
S 0.9089 0.5365 0.3388
S 0.9089 0.9635 0.3388
S 0.9953 0.2500 0.0549



Record 4
# K2CuH8C4O12
Theoretical powder X-ray diffraction pattern, CuKα. Input: DFT lattice parameters and positions (PBE).

Peak list (10 most intense, 15 to 90 degrees two-theta, in order of rising 2θ)
| d/Å | 2theta | I_rel | h k l |
| --- | --- | --- | --- |
| 5.471 | 16.20 | 25 | 0 0 2 |
| 4.517 | 19.66 | 100 | 0 3 1 |
| 3.336 | 26.73 | 71 | 1 2 0 |
| 3.058 | 29.20 | 98 | 1 3 -1 |
| 2.982 | 29.96 | 65 | 1 3 0 |
| 2.938 | 30.42 | 29 | 0 3 3 |
| 2.848 | 31.41 | 42 | 1 2 -3 |
| 2.738 | 32.71 | 39 | 0 0 4 |
| 2.634 | 34.03 | 32 | 1 4 0 |
| 2.616 | 34.27 | 24 | 1 3 -3 |

Structure:
Cell lengths 3.8923, 14.8762, 11.4131 Å; angles 90.00, 106.51, 90.00 degrees
Fractional coordinates of all 54 atoms:
K 0.2333 0.1312 0.0132
K 0.2333 0.3688 0.5132
K 0.7667 0.6312 0.4868
K 0.7667 0.8688 0.9868
Cu 0.0000 0.0000 0.5000
Cu 0.0000 0.5000 0.0000
H 0.1743 0.7143 0.8458
H 0.1743 0.7857 0.3458
H 0.3764 0.6889 0.9783
H 0.3764 0.8111 0.4783
H 0.4749 0.1254 0.7624
H 0.4749 0.3746 0.2624
H 0.4851 0.7283 0.7019
H 0.4851 0.7717 0.2019
H 0.5149 0.2283 0.7981
H 0.5149 0.2717 0.2981
H 0.5251 0.6254 0.7376
H 0.5251 0.8746 0.2376
H 0.6236 0.1889 0.5217
H 0.6236 0.3111 0.0217
H 0.8257 0.2143 0.6542
H 0.8257 0.2857 0.1542
C 0.0589 0.5252 0.2447
C 0.0589 0.9748 0.7447
C 0.2044 0.0981 0.3259
C 0.2044 0.4019 0.8259
C 0.7956 0.5981 0.1741
C 0.7956 0.9019 0.6741
C 0.9411 0.0252 0.2553
C 0.9411 0.4748 0.7553
O 0.1437 0.5215 0.3582
O 0.1437 0.9785 0.8582
O 0.1761 0.0289 0.6756
O 0.1761 0.4711 0.1756
O 0.2291 0.7370 0.9297
O 0.2291 0.7630 0.4297
O 0.2788 0.0935 0.4439
O 0.2788 0.4065 0.9439
O 0.3300 0.1547 0.2689
O 0.3300 0.3453 0.7689
O 0.3563 0.6704 0.6898
O 0.3563 0.8296 0.1898
O 0.6437 0.1704 0.8102
O 0.6437 0.3296 0.3102
O 0.6700 0.6547 0.2311
O 0.6700 0.8453 0.7311
O 0.7212 0.5935 0.0561
O 0.7212 0.9065 0.5561
O 0.7709 0.2370 0.5703
O 0.7709 0.2630 0.0703
O 0.8239 0.5289 0.8244
O 0.8239 0.9711 0.3244
O 0.8563 0.0215 0.1418
O 0.8563 0.4785 0.6418



Record 5
# Mo3WSe8
Theoretical powder X-ray diffraction pattern, CuKα. Input: DFT lattice parameters and positions (PBE).

Peak list (10 most intense, 15 to 90 degrees two-theta, in order of rising 2θ)
| d/Å | 2theta | I_rel | h k l |
| --- | --- | --- | --- |
| 2.877 | 31.08 | 50 | 1 0 0 |
| 2.690 | 33.30 | 19 | 1 0 5 |
| 2.459 | 36.55 | 100 | 1 0 8 |
| 2.046 | 44.26 | 70 | 0 1 13 |
| 1.970 | 46.08 | 22 | 1 0 14 |
| 1.662 | 55.29 | 38 | 1 1 0 |
| 1.623 | 56.71 | 14 | 1 1 5 |
| 1.377 | 68.10 | 16 | 0 2 8 |
| 1.290 | 73.40 | 15 | 2 0 13 |
| 1.221 | 78.27 | 18 | 1 1 21 |

Structure:
Cell lengths 3.3237, 3.3237, 37.8249 Å; angles 90.00, 90.00, 120.00 degrees
Fractional coordinates of all 12 atoms:
Mo 0.0000 0.0000 0.0000
Mo 0.0000 0.0000 0.3757
Mo 0.3333 0.6667 0.1879
W 0.3333 0.6667 0.5636
Se 0.0000 0.0000 0.1436
Se 0.0000 0.0000 0.2322
Se 0.0000 0.0000 0.5191
Se 0.0000 0.0000 0.6081
Se 0.3333 0.6667 0.0443
Se 0.3333 0.6667 0.3314
Se 0.3333 0.6667 0.4200
Se 0.3333 0.6667 0.9557



Record 6
# Y6IrI10
Theoretical powder X-ray diffraction pattern, CuKα. Input: DFT lattice parameters and positions (PBE).

Peak list (10 most intense, 15 to 90 degrees two-theta, in order of rising 2θ)
| d/Å | 2theta | I_rel | h k l |
| --- | --- | --- | --- |
| 3.623 | 24.57 | 35 | -2 1 1 |
| 3.595 | 24.77 | 96 | 1 -2 2 |
| 3.183 | 28.03 | 100 | 2 0 1 |
| 3.103 | 28.77 | 100 | 1 1 -3 |
| 3.075 | 29.04 | 94 | 1 -3 0 |
| 2.214 | 40.75 | 69 | 1 -1 4 |
| 2.208 | 40.87 | 34 | 1 3 1 |
| 2.192 | 41.18 | 33 | -2 2 3 |
| 2.177 | 41.49 | 34 | 0 4 -3 |
| 1.799 | 50.75 | 37 | 0 2 4 |

Structure:
Cell lengths 7.7571, 9.7115, 9.8172 Å; angles 107.27, 96.92, 104.53 degrees
Fractional coordinates of all 17 atoms:
Y 0.0304 0.2206 0.4175
Y 0.1151 0.5424 0.2576
Y 0.3510 0.6258 0.6673
Y 0.6490 0.3742 0.3327
Y 0.8849 0.4576 0.7424
Y 0.9696 0.7794 0.5825
Ir 0.0000 0.5000 0.5000
I 0.0856 0.8722 0.3214
I 0.2189 0.2418 0.1546
I 0.2589 0.5881 0.9628
I 0.3507 0.9516 0.7724
I 0.4530 0.3155 0.5908
I 0.5470 0.6845 0.4092
I 0.6493 0.0484 0.2276
I 0.7411 0.4119 0.0372
I 0.7811 0.7582 0.8454
I 0.9144 0.1278 0.6786